Diffraction record for Ac2Dy3Pb4. The XRD peak list is computed, not measured: it uses the PBE geometry in Alexandria and CuKα.

Atomic structure:
Lattice parameters (Å, degrees): 8.6367 8.6161 8.4606 90.00 111.11 90.00
Space group P2_1/c (No. 14)
Asymmetric unit:
1 Ac 0.1913 0.1767 0.0586
2 Dy 0.2487 0.6575 0.2437
3 Dy 0.5000 0.0000 0.5000
4 Pb 0.0894 0.5468 0.8442
5 Pb 0.4992 0.1396 0.8598

Principal peaks in the range 15 to 90 degrees two-theta, sorted by position:
index	2θ/deg	I (rel.)
2 1 -2	27.34	42
1 2 1	27.74	30
2 2 -1	29.48	93
1 2 -2	29.74	36
2 1 1	30.15	22
1 1 2	30.40	100
3 0 -2	32.87	32
0 3 1	33.19	52
1 1 -3	33.43	97
3 1 -4	47.50	18

=====

Diffraction record for GaMoRh. The XRD peak list is computed, not measured: it uses the PBE geometry in Alexandria and CuKα.

Atomic structure:
Lattice parameters (Å, degrees): 3.1243 3.1243 9.1370 90.00 90.00 90.00
Space group P4mm (No. 99)
Asymmetric unit:
1 Ga 0.0000 0.0000 0.0000
2 Ga 0.0000 0.0000 0.3260
3 Mo 0.0000 0.0000 0.6518
4 Mo 0.5000 0.5000 0.4989
5 Rh 0.5000 0.5000 0.1655
6 Rh 0.5000 0.5000 0.8442

Principal peaks in the range 15 to 90 degrees two-theta, sorted by position:
index	2θ/deg	I (rel.)
1 0 0	28.57	2
0 0 3	29.32	2
1 1 0	40.85	53
1 0 3	41.40	100
2 0 0	59.14	17
0 0 6	60.83	7
2 1 3	74.75	34
1 1 6	75.88	15
2 2 0	88.52	6
2 0 6	89.98	10

=====

Diffraction record for CaFeAs. The XRD peak list is computed, not measured: it uses the PBE geometry in Alexandria and CuKα.

Atomic structure:
Lattice parameters (Å, degrees): 3.9688 3.9688 7.4146 90.00 90.00 90.00
Space group P4/nmm (No. 129, origin choice 2)
Asymmetric unit:
1 Ca 0.2500 0.2500 0.1838
2 Fe 0.2500 0.7500 0.5000
3 As 0.2500 0.2500 0.6727

Principal peaks in the range 15 to 90 degrees two-theta, sorted by position:
index	2θ/deg	I (rel.)
1 1 0	31.89	21
1 0 2	33.06	93
1 1 2	40.31	100
2 0 0	45.72	63
2 0 1	47.43	22
1 1 3	49.12	31
1 0 4	54.65	30
2 1 2	57.57	35
2 1 4	73.93	23
3 1 2	80.87	27

=====

Diffraction record for Dy3ZrAl8. The XRD peak list is computed, not measured: it uses the PBE geometry in Alexandria and CuKα.

Atomic structure:
Lattice parameters (Å, degrees): 5.4700 5.4700 9.0853 90.00 90.00 120.00
Space group P3m1 (No. 156)
Asymmetric unit:
1 Dy 0.0000 0.0000 0.0000
2 Dy 0.0000 0.0000 0.3672
3 Dy 0.3333 0.6667 0.8628
4 Zr 0.3333 0.6667 0.4998
5 Al 0.0087 0.5044 0.1872
6 Al 0.3258 0.1629 0.6759
7 Al 0.6667 0.3333 0.4320
8 Al 0.6667 0.3333 0.9302

Principal peaks in the range 15 to 90 degrees two-theta, sorted by position:
index	2θ/deg	I (rel.)
1 0 0	18.73	40
0 0 2	19.54	19
1 0 1	21.15	35
1 0 2	27.20	21
1 1 0	32.74	72
1 0 3	35.17	100
1 1 2	38.42	68
0 2 1	39.31	33
2 1 3	60.02	41
2 0 5	64.65	24

=====

Diffraction record for Tm5Co2Ni. The XRD peak list is computed, not measured: it uses the PBE geometry in Alexandria and CuKα.

Atomic structure:
Lattice parameters (Å, degrees): 7.0266 7.0266 13.9218 90.00 90.00 90.00
Space group I4/mcm (No. 140)
Asymmetric unit:
1 Tm 0.0000 0.0000 0.0000
2 Tm 0.1761 0.3239 0.1419
3 Co 0.1143 0.3857 0.5000
4 Ni 0.0000 0.0000 0.2500

Principal peaks in the range 15 to 90 degrees two-theta, sorted by position:
index	2θ/deg	I (rel.)
2 1 1	29.13	29
1 1 4	31.38	20
2 1 3	34.47	100
2 2 0	36.16	19
2 0 4	36.33	63
3 1 0	40.60	41
2 1 7	54.61	17
4 1 3	57.62	22
3 3 4	62.06	22
4 1 7	73.13	20

=====

Diffraction record for Ta4GaTe6Se2. The XRD peak list is computed, not measured: it uses the PBE geometry in Alexandria and CuKα.

Atomic structure:
Lattice parameters (Å, degrees): 7.7999 7.9718 11.0518 90.00 90.00 90.00
Space group Imm2 (No. 44)
Asymmetric unit:
1 Ta 0.0000 0.2095 0.0000
2 Ta 0.1872 0.0000 0.1916
3 Ga 0.0000 0.0000 0.6052
4 Te 0.0000 0.2808 0.7325
5 Te 0.2309 0.5000 0.4489
6 Te 0.2307 0.5000 0.9591
7 Se 0.0000 0.2616 0.2258

Principal peaks in the range 15 to 90 degrees two-theta, sorted by position:
index	2θ/deg	I (rel.)
1 2 1	26.37	23
0 1 3	26.67	22
2 2 0	32.11	100
0 0 4	32.40	45
1 2 3	35.11	17
1 3 2	39.36	22
2 0 4	39.97	36
0 3 3	41.94	24
0 4 0	45.51	21
2 2 4	46.26	66